Diffraction record for NaTh3Pa4N12. The powder X-ray diffraction pattern is computed, not measured: it uses a GGA-PBE-relaxed structure and Cu Kα (weighted mean of Kα1 and Kα2).
Lines closer than 0.1° are merged.

The 10 most intense peaks (10 to 90 degrees two-theta), by angle:
d 6.098, rel. 10; d 3.521, rel. 5; d 3.049, rel. 100; d 2.305, rel. 3; d 2.156, rel. 23; d 1.760, rel. 46; d 1.525, rel. 15; d 1.364, rel. 19; d 1.245, rel. 5; d 1.152, rel. 23

Cell and atoms:
Lattice parameters (Å, degrees): 7.469 7.469 7.469 109.47 109.47 109.47
Atoms (fractional coordinates):
Na: 0.000 0.000 0.000
Th: 0.000 0.500 0.500
Th: 0.500 0.000 0.500
Th: 0.500 0.500 0.000
Pa: 0.000 0.000 0.500
Pa: 0.000 0.500 0.000
Pa: 0.500 0.000 0.000
Pa: 0.500 0.500 0.500
N: 0.106 0.794 0.312
N: 0.206 0.312 0.518
N: 0.206 0.688 0.894
N: 0.312 0.106 0.794
N: 0.312 0.518 0.206
N: 0.482 0.794 0.688
N: 0.518 0.206 0.312
N: 0.688 0.482 0.794
N: 0.688 0.894 0.206
N: 0.794 0.312 0.106
N: 0.794 0.688 0.482
N: 0.894 0.206 0.688

***

Diffraction record for Ce3N4. The powder X-ray diffraction pattern is computed, not measured: it uses a GGA-PBE-relaxed structure and Cu Kα (weighted mean of Kα1 and Kα2).
Lines closer than 0.1° are merged.

The 10 most intense peaks (10 to 90 degrees two-theta), by angle:
d 3.034, rel. 100; d 2.628, rel. 8; d 2.350, rel. 49; d 1.986, rel. 27; d 1.662, rel. 26; d 1.585, rel. 16; d 1.458, rel. 25; d 1.357, rel. 6; d 1.206, rel. 21; d 1.147, rel. 8

Cell and atoms:
Lattice parameters (Å, degrees): 6.436 6.436 6.436 109.47 109.47 109.47
Atoms (fractional coordinates):
Ce: 0.125 0.750 0.875
Ce: 0.250 0.625 0.375
Ce: 0.375 0.250 0.625
Ce: 0.625 0.375 0.250
Ce: 0.750 0.875 0.125
Ce: 0.875 0.125 0.750
N: 0.000 0.392 0.500
N: 0.000 0.892 0.500
N: 0.108 0.108 0.108
N: 0.392 0.500 0.000
N: 0.500 0.000 0.392
N: 0.500 0.000 0.892
N: 0.608 0.608 0.608
N: 0.892 0.500 0.000

***

Diffraction record for BSbH2. The powder X-ray diffraction pattern is computed, not measured: it uses a GGA-PBE-relaxed structure and Cu Kα (weighted mean of Kα1 and Kα2).
Lines closer than 0.1° are merged.

The 10 most intense peaks (10 to 90 degrees two-theta), by angle:
d 3.528, rel. 100; d 2.729, rel. 34; d 2.604, rel. 49; d 2.374, rel. 95; d 1.884, rel. 19; d 1.864, rel. 22; d 1.648, rel. 24; d 1.539, rel. 24; d 1.497, rel. 22; d 1.153, rel. 22

Cell and atoms:
Lattice parameters (Å, degrees): 3.729 3.729 10.916 90.00 90.00 90.00
Atoms (fractional coordinates):
B: 0.000 0.250 0.375
B: 0.000 0.750 0.625
B: 0.500 0.250 0.125
B: 0.500 0.750 0.875
Sb: 0.000 0.250 0.875
Sb: 0.000 0.750 0.125
Sb: 0.500 0.250 0.625
Sb: 0.500 0.750 0.375
H: 0.000 0.000 0.500
H: 0.000 0.500 0.500
H: 0.250 0.250 0.250
H: 0.250 0.750 0.750
H: 0.500 0.000 0.000
H: 0.500 0.500 0.000
H: 0.750 0.250 0.250
H: 0.750 0.750 0.750

***

Diffraction record for TbSc3P4. The powder X-ray diffraction pattern is computed, not measured: it uses a GGA-PBE-relaxed structure and Cu Kα (weighted mean of Kα1 and Kα2).
Lines closer than 0.1° are merged.

The 10 most intense peaks (10 to 90 degrees two-theta), by angle:
d 6.249, rel. 31; d 3.266, rel. 25; d 3.126, rel. 32; d 2.708, rel. 100; d 2.484, rel. 14; d 1.915, rel. 57; d 1.633, rel. 15; d 1.563, rel. 23; d 1.211, rel. 15; d 1.210, rel. 14

Cell and atoms:
Lattice parameters (Å, degrees): 7.652 10.826 3.834 90.00 90.00 90.00
Atoms (fractional coordinates):
Tb: 0.000 0.000 0.000
Tb: 0.500 0.500 0.000
Sc: 0.000 0.500 0.000
Sc: 0.250 0.250 0.500
Sc: 0.250 0.750 0.500
Sc: 0.500 0.000 0.000
Sc: 0.750 0.250 0.500
Sc: 0.750 0.750 0.500
P: 0.000 0.256 0.000
P: 0.000 0.744 0.000
P: 0.239 0.500 0.500
P: 0.261 0.000 0.500
P: 0.500 0.244 0.000
P: 0.500 0.756 0.000
P: 0.739 0.000 0.500
P: 0.761 0.500 0.500

***

Diffraction record for TmAg2C2O6. The powder X-ray diffraction pattern is computed, not measured: it uses a GGA-PBE-relaxed structure and Cu Kα (weighted mean of Kα1 and Kα2).
Lines closer than 0.1° are merged.

The 10 most intense peaks (10 to 90 degrees two-theta), by angle:
d 4.451, rel. 68; d 3.176, rel. 100; d 2.815, rel. 26; d 2.716, rel. 23; d 2.596, rel. 37; d 2.170, rel. 25; d 2.121, rel. 13; d 1.956, rel. 29; d 1.952, rel. 14; d 1.819, rel. 20

Cell and atoms:
Lattice parameters (Å, degrees): 5.235 5.235 7.850 115.33 115.33 62.49
Atoms (fractional coordinates):
Tm: 0.000 0.000 0.000
Ag: 0.177 0.177 0.588
Ag: 0.823 0.823 0.412
C: 0.436 0.436 0.185
C: 0.564 0.564 0.815
O: 0.275 0.686 0.792
O: 0.280 0.280 0.148
O: 0.314 0.725 0.208
O: 0.686 0.275 0.792
O: 0.720 0.720 0.852
O: 0.725 0.314 0.208

***

Diffraction record for TbY2Tm6. The powder X-ray diffraction pattern is computed, not measured: it uses a GGA-PBE-relaxed structure and Cu Kα (weighted mean of Kα1 and Kα2).
Lines closer than 0.1° are merged.

The 10 most intense peaks (10 to 90 degrees two-theta), by angle:
d 3.157, rel. 37; d 3.057, rel. 100; d 2.846, rel. 85; d 2.823, rel. 62; d 2.808, rel. 91; d 2.729, rel. 60; d 2.662, rel. 38; d 2.626, rel. 47; d 2.577, rel. 39; d 2.013, rel. 19

Cell and atoms:
Lattice parameters (Å, degrees): 9.444 9.444 6.485 98.95 98.95 95.61
Atoms (fractional coordinates):
Tb: 0.120 0.880 0.750
Tb: 0.880 0.120 0.250
Y: 0.332 0.383 0.629
Y: 0.383 0.332 0.129
Y: 0.617 0.668 0.871
Y: 0.668 0.617 0.371
Tm: 0.045 0.220 0.817
Tm: 0.058 0.462 0.268
Tm: 0.220 0.045 0.317
Tm: 0.279 0.652 0.000
Tm: 0.348 0.721 0.500
Tm: 0.462 0.058 0.768
Tm: 0.538 0.942 0.232
Tm: 0.652 0.279 0.500
Tm: 0.721 0.348 0.000
Tm: 0.780 0.955 0.683
Tm: 0.942 0.538 0.732
Tm: 0.955 0.780 0.183